This entry pairs a crystal structure of CeGa8Pd4 with its calculated XRD peak list. Radiation: a wavelength of 1.5418 Å. Structure: DFT lattice parameters and positions (GGA-PBE).

The 8 most intense peaks (10° ≤ 2θ ≤ 90°), low angle first:
| Position (°2θ) | Rel. int. |
| --- | --- |
| 34.15 | 383 |
| 38.26 | 1000 |
| 39.81 | 778 |
| 40.31 | 672 |
| 43.46 | 645 |
| 45.32 | 314 |
| 62.77 | 237 |
| 71.92 | 279 |

Crystal structure
Cell lengths 6.906, 6.906, 6.906 Å; angles 99.23, 99.23, 132.79 degrees
Atoms (fractional coordinates):
Ce1 0.000 0.000 0.000
Ga1 0.000 0.349 0.349
Ga2 0.000 0.651 0.651
Ga3 0.281 0.500 0.781
Ga4 0.349 0.000 0.349
Ga5 0.500 0.281 0.781
Ga6 0.500 0.719 0.219
Ga7 0.651 0.000 0.651
Ga8 0.719 0.500 0.219
Pd1 0.000 0.000 0.500
Pd2 0.000 0.500 0.000
Pd3 0.500 0.000 0.000
Pd4 0.500 0.500 0.500

This entry pairs a crystal structure of PuHg3Pb with its calculated XRD peak list. Radiation: a wavelength of 1.5418 Å. Structure: DFT lattice parameters and positions (GGA-PBE).

The 8 most intense peaks (10° ≤ 2θ ≤ 90°), low angle first:
| Position (°2θ) | Rel. int. |
| --- | --- |
| 32.37 | 347 |
| 33.01 | 1000 |
| 34.67 | 883 |
| 35.08 | 470 |
| 48.47 | 231 |
| 48.78 | 215 |
| 61.49 | 218 |
| 67.41 | 266 |

Crystal structure
Cell lengths 5.116, 3.235, 16.003 Å; angles 90.00, 90.00, 90.00 degrees
Atoms (fractional coordinates):
Pu1 0.250 0.000 0.139
Pu2 0.750 0.000 0.861
Hg1 0.250 0.000 0.556
Hg2 0.250 0.500 0.767
Hg3 0.250 0.500 0.954
Hg4 0.750 0.000 0.444
Hg5 0.750 0.500 0.046
Hg6 0.750 0.500 0.233
Pb1 0.250 0.500 0.344
Pb2 0.750 0.500 0.656

This entry pairs a crystal structure of Tm2CoIr with its calculated XRD peak list. Radiation: a wavelength of 1.5418 Å. Structure: DFT lattice parameters and positions (GGA-PBE).

The 8 most intense peaks (10° ≤ 2θ ≤ 90°), low angle first:
| Position (°2θ) | Rel. int. |
| --- | --- |
| 37.78 | 259 |
| 37.98 | 253 |
| 38.21 | 1000 |
| 54.64 | 177 |
| 68.50 | 180 |
| 68.77 | 175 |
| 69.37 | 89 |
| 81.79 | 115 |

Crystal structure
Cell lengths 4.763, 3.303, 9.477 Å; angles 90.00, 90.00, 90.00 degrees
Atoms (fractional coordinates):
Tm1 0.250 0.000 0.120
Tm2 0.250 0.000 0.630
Tm3 0.750 0.000 0.370
Tm4 0.750 0.000 0.880
Co1 0.250 0.500 0.876
Co2 0.750 0.500 0.124
Ir1 0.250 0.500 0.373
Ir2 0.750 0.500 0.627

This entry pairs a crystal structure of Np3Cu5O16 with its calculated XRD peak list. Radiation: a wavelength of 1.5418 Å. Structure: DFT lattice parameters and positions (GGA-PBE).

The 8 most intense peaks (10° ≤ 2θ ≤ 90°), low angle first:
| Position (°2θ) | Rel. int. |
| --- | --- |
| 16.96 | 341 |
| 19.11 | 1000 |
| 23.91 | 236 |
| 26.86 | 181 |
| 27.30 | 173 |
| 28.26 | 321 |
| 30.75 | 355 |
| 34.31 | 187 |

Crystal structure
Cell lengths 5.813, 7.045, 9.402 Å; angles 81.10, 85.30, 66.42 degrees
Atoms (fractional coordinates):
Np1 0.000 0.000 0.000
Np2 0.242 0.729 0.494
Np3 0.726 0.231 0.512
Cu1 0.280 0.159 0.262
Cu2 0.495 0.492 0.021
Cu3 0.518 0.972 0.988
Cu4 0.749 0.716 0.496
Cu5 0.994 0.495 0.017
O1 0.065 0.627 0.386
O2 0.067 0.068 0.397
O3 0.169 0.669 0.963
O4 0.227 0.066 0.864
O5 0.276 0.939 0.141
O6 0.319 0.315 0.083
O7 0.402 0.417 0.608
O8 0.429 0.822 0.601
O9 0.535 0.175 0.388
O10 0.596 0.573 0.397
O11 0.667 0.666 0.959
O12 0.739 0.064 0.859
O13 0.773 0.930 0.134
O14 0.825 0.318 0.071
O15 0.895 0.865 0.595
O16 0.914 0.300 0.621

This entry pairs a crystal structure of NaAg5Sn2 with its calculated XRD peak list. Radiation: a wavelength of 1.5418 Å. Structure: DFT lattice parameters and positions (GGA-PBE).

The 8 most intense peaks (10° ≤ 2θ ≤ 90°), low angle first:
| Position (°2θ) | Rel. int. |
| --- | --- |
| 13.85 | 914 |
| 32.10 | 694 |
| 32.35 | 978 |
| 40.09 | 797 |
| 40.45 | 1000 |
| 40.85 | 846 |
| 42.68 | 513 |
| 59.98 | 473 |

Crystal structure
Cell lengths 7.073, 7.073, 7.073 Å; angles 145.14, 112.41, 78.36 degrees
Atoms (fractional coordinates):
Na1 0.000 0.000 0.000
Ag1 0.184 0.368 0.816
Ag2 0.448 0.632 0.816
Ag3 0.500 0.000 0.500
Ag4 0.552 0.368 0.184
Ag5 0.816 0.632 0.184
Sn1 0.238 0.738 0.500
Sn2 0.762 0.262 0.500

This entry pairs a crystal structure of Ga6Ni5Ir with its calculated XRD peak list. Radiation: a wavelength of 1.5418 Å. Structure: DFT lattice parameters and positions (GGA-PBE).

The 8 most intense peaks (10° ≤ 2θ ≤ 90°), low angle first:
| Position (°2θ) | Rel. int. |
| --- | --- |
| 42.58 | 272 |
| 42.75 | 271 |
| 43.80 | 1000 |
| 61.92 | 173 |
| 78.80 | 160 |
| 79.02 | 165 |
| 81.23 | 75 |
| 81.34 | 76 |

Crystal structure
Cell lengths 6.711, 6.711, 5.708 Å; angles 90.00, 90.00, 143.25 degrees
Atoms (fractional coordinates):
Ga1 0.000 0.000 0.238
Ga2 0.000 0.000 0.762
Ga3 0.328 0.672 0.249
Ga4 0.328 0.672 0.751
Ga5 0.672 0.328 0.249
Ga6 0.672 0.328 0.751
Ni1 0.160 0.840 0.500
Ni2 0.167 0.833 0.000
Ni3 0.500 0.500 0.000
Ni4 0.833 0.167 0.000
Ni5 0.840 0.160 0.500
Ir1 0.500 0.500 0.500

This entry pairs a crystal structure of Nd4CoSe3 with its calculated XRD peak list. Radiation: a wavelength of 1.5418 Å. Structure: DFT lattice parameters and positions (GGA-PBE).

The 8 most intense peaks (10° ≤ 2θ ≤ 90°), low angle first:
| Position (°2θ) | Rel. int. |
| --- | --- |
| 25.85 | 129 |
| 29.90 | 1000 |
| 30.05 | 493 |
| 42.15 | 364 |
| 42.80 | 356 |
| 43.65 | 343 |
| 53.14 | 175 |
| 62.13 | 111 |

Crystal structure
Cell lengths 7.462, 8.460, 7.137 Å; angles 90.00, 109.29, 90.00 degrees
Atoms (fractional coordinates):
Nd1 0.227 0.116 0.006
Nd2 0.227 0.884 0.506
Nd3 0.236 0.354 0.482
Nd4 0.236 0.646 0.982
Nd5 0.764 0.354 0.018
Nd6 0.764 0.646 0.518
Nd7 0.773 0.116 0.494
Nd8 0.773 0.884 0.994
Co1 0.000 0.122 0.250
Co2 0.000 0.878 0.750
Se1 0.000 0.380 0.750
Se2 0.000 0.620 0.250
Se3 0.500 0.125 0.750
Se4 0.500 0.383 0.250
Se5 0.500 0.617 0.750
Se6 0.500 0.875 0.250

This entry pairs a crystal structure of La3PmTe4 with its calculated XRD peak list. Radiation: a wavelength of 1.5418 Å. Structure: DFT lattice parameters and positions (GGA-PBE).

The 8 most intense peaks (10° ≤ 2θ ≤ 90°), low angle first:
| Position (°2θ) | Rel. int. |
| --- | --- |
| 27.71 | 1000 |
| 39.28 | 131 |
| 39.58 | 511 |
| 39.97 | 124 |
| 48.72 | 140 |
| 49.31 | 135 |
| 64.68 | 119 |
| 64.78 | 118 |

Crystal structure
Cell lengths 7.912, 9.023, 7.914 Å; angles 90.00, 109.14, 90.00 degrees
Atoms (fractional coordinates):
La1 0.000 0.125 0.250
La2 0.000 0.374 0.750
La3 0.000 0.626 0.250
La4 0.000 0.875 0.750
La5 0.500 0.374 0.250
La6 0.500 0.626 0.750
Pm1 0.500 0.125 0.750
Pm2 0.500 0.875 0.250
Te1 0.253 0.373 0.503
Te2 0.253 0.627 0.003
Te3 0.255 0.122 0.000
Te4 0.255 0.878 0.500
Te5 0.745 0.122 0.500
Te6 0.745 0.878 0.000
Te7 0.747 0.373 0.997
Te8 0.747 0.627 0.497

This entry pairs a crystal structure of Pm2CuGe5 with its calculated XRD peak list. Radiation: a wavelength of 1.5418 Å. Structure: DFT lattice parameters and positions (GGA-PBE).

The 8 most intense peaks (10° ≤ 2θ ≤ 90°), low angle first:
| Position (°2θ) | Rel. int. |
| --- | --- |
| 28.51 | 270 |
| 35.54 | 1000 |
| 39.19 | 129 |
| 42.28 | 367 |
| 44.76 | 167 |
| 59.01 | 151 |
| 63.26 | 119 |
| 72.94 | 229 |

Crystal structure
Cell lengths 6.278, 6.278, 6.278 Å; angles 122.43, 122.43, 85.84 degrees
Atoms (fractional coordinates):
Pm1 0.000 0.500 0.500
Pm2 0.500 0.000 0.500
Cu1 0.384 0.384 0.000
Ge1 0.507 0.507 0.525
Ge2 0.507 0.982 0.000
Ge3 0.942 0.942 0.000
Ge4 0.982 0.507 0.000
Ge5 0.982 0.982 0.475